Structure and theoretical powder diffraction line list of ZrCuSnAu (a cell relaxed with GGA-PBE; Cu Kα X-rays).
Intensities are scaled so that the largest is 100.

Structural model:
Cell: 6.7169 6.7169 6.7169 Å, 90.00 90.00 90.00°
Atoms (fractional coordinates):
Zr: 0.0000 0.0000 0.0000
Zr: 0.0000 0.5000 0.5000
Zr: 0.5000 0.0000 0.5000
Zr: 0.5000 0.5000 0.0000
Cu: 0.2500 0.2500 0.7500
Cu: 0.2500 0.7500 0.2500
Cu: 0.7500 0.2500 0.2500
Cu: 0.7500 0.7500 0.7500
Sn: 0.0000 0.0000 0.5000
Sn: 0.0000 0.5000 0.0000
Sn: 0.5000 0.0000 0.0000
Sn: 0.5000 0.5000 0.5000
Au: 0.2500 0.2500 0.2500
Au: 0.2500 0.7500 0.7500
Au: 0.7500 0.2500 0.7500
Au: 0.7500 0.7500 0.2500

The 10 most intense peaks (15 to 90 degrees two-theta), low angle first:
two_theta  I/Imax  index
22.93  17  1 1 1
26.54  1  2 0 0
37.89  100  2 2 0
44.75  10  3 1 1
54.66  17  4 0 0
60.04  4  3 3 1
68.43  35  4 2 2
73.22  3  5 1 1
80.97  11  4 4 0
85.53  4  5 3 1